For Li4HgP, a structure optimized by DFT (GGA-PBE) gives the simulated X-ray powder pattern in this record (CuKα).

Structural model:
Cell: 7.3431 7.3431 7.3431 Å, 90.00 90.00 90.00°
Space group F-43m (No. 216)
Inequivalent atoms, fractional coordinates:
1 Li 0.1242 0.1242 0.1242 (multiplicity 16)
2 Hg 0.0000 0.0000 0.5000 (multiplicity 4)
3 P 0.2500 0.2500 0.7500 (multiplicity 4)

Principal peaks in the range 2θ from 10° to 80°, low angle first:
| d [Å] | Position (°2θ) | I/Imax | index |
| --- | --- | --- | --- |
| 4.240 | 20.95 | 100 | 1 1 1 |
| 3.672 | 24.24 | 40 | 2 0 0 |
| 2.596 | 34.55 | 62 | 2 2 0 |
| 2.214 | 40.75 | 66 | 3 1 1 |
| 2.120 | 42.65 | 13 | 2 2 2 |
| 1.836 | 49.66 | 9 | 4 0 0 |
| 1.685 | 54.47 | 25 | 3 3 1 |
| 1.642 | 56.00 | 18 | 4 2 0 |
| 1.499 | 61.90 | 23 | 4 2 2 |
| 1.413 | 66.12 | 22 | 5 1 1 |
| 1.241 | 76.79 | 18 | 5 3 1 |
| 1.224 | 78.09 | 9 | 4 4 2 |

For NiPd2Se6, a structure optimized by DFT (GGA-PBE) gives the simulated X-ray powder pattern in this record (CuKα).

Structural model:
Cell: 10.7720 3.8014 10.8261 Å, 90.00 117.05 90.00°
Space group C2/m (No. 12)
Inequivalent atoms, fractional coordinates:
1 Ni 0.0000 0.0000 0.0000 (multiplicity 2)
2 Pd 0.1654 0.5000 0.3285 (multiplicity 4)
3 Se 0.0599 0.5000 0.8942 (multiplicity 4)
4 Se 0.1060 0.0000 0.4507 (multiplicity 4)
5 Se 0.2199 0.0000 0.2033 (multiplicity 4)

Principal peaks in the range 2θ from 10° to 80°, low angle first:
| d [Å] | Position (°2θ) | I/Imax | index |
| --- | --- | --- | --- |
| 5.380 | 16.48 | 80 | 2 0 -1 |
| 3.109 | 28.71 | 63 | 1 1 -2 |
| 2.819 | 31.74 | 56 | 2 0 2 |
| 2.388 | 37.66 | 100 | 3 1 -3 |
| 2.113 | 42.79 | 25 | 4 0 1 |
| 2.016 | 44.97 | 12 | 4 0 -5 |
| 1.901 | 47.86 | 26 | 0 2 0 |
| 1.852 | 49.19 | 37 | 1 1 4 |
| 1.826 | 49.94 | 24 | 1 1 -5 |
| 1.818 | 50.17 | 36 | 5 1 -1 |
| 1.576 | 58.57 | 19 | 2 2 2 |
| 1.413 | 66.12 | 13 | 4 2 1 |

For LaCrFeP2, a structure optimized by DFT (GGA-PBE) gives the simulated X-ray powder pattern in this record (CuKα).

Structural model:
Cell: 3.8013 3.8013 11.5433 Å, 90.00 90.00 90.00°
Space group I-4m2 (No. 119)
Inequivalent atoms, fractional coordinates:
1 La 0.0000 0.0000 0.0000 (multiplicity 2)
2 Cr 0.0000 0.5000 0.7500 (multiplicity 2)
3 Fe 0.0000 0.5000 0.2500 (multiplicity 2)
4 P 0.0000 0.0000 0.3589 (multiplicity 4)

Principal peaks in the range 2θ from 10° to 80°, low angle first:
| d [Å] | Position (°2θ) | I/Imax | index |
| --- | --- | --- | --- |
| 3.611 | 24.66 | 47 | 1 0 1 |
| 2.886 | 30.99 | 27 | 0 0 4 |
| 2.704 | 33.13 | 87 | 1 0 3 |
| 2.437 | 36.89 | 100 | 1 1 2 |
| 1.973 | 45.99 | 22 | 1 0 5 |
| 1.901 | 47.86 | 39 | 2 0 0 |
| 1.682 | 54.56 | 11 | 2 1 1 |
| 1.587 | 58.11 | 17 | 2 0 4 |
| 1.564 | 59.05 | 34 | 1 1 6 |
| 1.555 | 59.44 | 31 | 2 1 3 |
| 1.369 | 68.55 | 13 | 2 1 5 |
| 1.344 | 70.01 | 12 | 2 2 0 |

Please write out number 2 again, unchanged.
For NiPd2Se6, a structure optimized by DFT (GGA-PBE) gives the simulated X-ray powder pattern in this record (CuKα).

Structural model:
Cell: 10.7720 3.8014 10.8261 Å, 90.00 117.05 90.00°
Space group C2/m (No. 12)
Inequivalent atoms, fractional coordinates:
1 Ni 0.0000 0.0000 0.0000 (multiplicity 2)
2 Pd 0.1654 0.5000 0.3285 (multiplicity 4)
3 Se 0.0599 0.5000 0.8942 (multiplicity 4)
4 Se 0.1060 0.0000 0.4507 (multiplicity 4)
5 Se 0.2199 0.0000 0.2033 (multiplicity 4)

Principal peaks in the range 2θ from 10° to 80°, low angle first:
| d [Å] | Position (°2θ) | I/Imax | index |
| --- | --- | --- | --- |
| 5.380 | 16.48 | 80 | 2 0 -1 |
| 3.109 | 28.71 | 63 | 1 1 -2 |
| 2.819 | 31.74 | 56 | 2 0 2 |
| 2.388 | 37.66 | 100 | 3 1 -3 |
| 2.113 | 42.79 | 25 | 4 0 1 |
| 2.016 | 44.97 | 12 | 4 0 -5 |
| 1.901 | 47.86 | 26 | 0 2 0 |
| 1.852 | 49.19 | 37 | 1 1 4 |
| 1.826 | 49.94 | 24 | 1 1 -5 |
| 1.818 | 50.17 | 36 | 5 1 -1 |
| 1.576 | 58.57 | 19 | 2 2 2 |
| 1.413 | 66.12 | 13 | 4 2 1 |

- Number 2 is which compound?
  NiPd2Se6